(1)
Computed X-ray diffraction stick pattern
Compound: Pr6YEr
Radiation: copper Kα
Structure: a GGA-PBE-relaxed structure
Lines closer than 0.1° are merged.

The 10 most intense peaks (2θ from 10° to 90°), by angle:
| 2θ (°) | I (rel.) |
| --- | --- |
| 19.12 | 1.3 |
| 29.82 | 100.0 |
| 34.57 | 50.7 |
| 35.67 | 0.7 |
| 49.70 | 36.2 |
| 59.04 | 43.1 |
| 61.95 | 12.4 |
| 72.92 | 5.7 |
| 80.72 | 17.5 |
| 83.27 | 16.2 |

Cell and atoms:
Lattice parameters (Å, degrees): 5.1887 5.1887 10.3793 90.00 90.00 90.00
Fractional coordinates of all 8 atoms:
Pr  0.0000  0.0000  0.0000
Pr  0.0000  0.0000  0.5000
Pr  0.0000  0.5000  0.2487
Pr  0.0000  0.5000  0.7513
Pr  0.5000  0.0000  0.2487
Pr  0.5000  0.0000  0.7513
Y  0.5000  0.5000  0.5000
Er  0.5000  0.5000  0.0000



(2)
Computed X-ray diffraction stick pattern
Compound: GePb3Au8
Radiation: copper Kα
Structure: a GGA-PBE-relaxed structure
Lines closer than 0.1° are merged.

The 10 most intense peaks (2θ from 10° to 90°), by angle:
| 2θ (°) | I (rel.) |
| --- | --- |
| 31.17 | 21.3 |
| 34.51 | 29.6 |
| 35.14 | 15.6 |
| 35.88 | 100.0 |
| 36.68 | 83.9 |
| 41.02 | 14.6 |
| 43.71 | 17.0 |
| 52.25 | 16.7 |
| 65.01 | 22.4 |
| 74.28 | 19.3 |

Cell and atoms:
Lattice parameters (Å, degrees): 10.0120 10.0120 5.9385 90.00 90.00 120.00
Fractional coordinates of all 24 atoms:
Ge  0.3333  0.6667  0.0000
Ge  0.6667  0.3333  0.5000
Pb  0.1525  0.3050  0.7494
Pb  0.1525  0.8475  0.7494
Pb  0.3050  0.1525  0.2494
Pb  0.6950  0.8475  0.7494
Pb  0.8475  0.1525  0.2494
Pb  0.8475  0.6950  0.2494
Au  0.0000  0.0000  0.0012
Au  0.0000  0.0000  0.5012
Au  0.0031  0.5015  0.0056
Au  0.2061  0.4122  0.2543
Au  0.2061  0.7939  0.2543
Au  0.3333  0.6667  0.5726
Au  0.4122  0.2061  0.7543
Au  0.4985  0.5015  0.0056
Au  0.4985  0.9969  0.0056
Au  0.5015  0.0031  0.5056
Au  0.5015  0.4985  0.5056
Au  0.5878  0.7939  0.2543
Au  0.6667  0.3333  0.0726
Au  0.7939  0.2061  0.7543
Au  0.7939  0.5878  0.7543
Au  0.9969  0.4985  0.5056



(3)
Computed X-ray diffraction stick pattern
Compound: BaSr3Ni
Radiation: copper Kα
Structure: a GGA-PBE-relaxed structure
Lines closer than 0.1° are merged.

The 10 most intense peaks (2θ from 10° to 90°), by angle:
| 2θ (°) | I (rel.) |
| --- | --- |
| 25.07 | 27.8 |
| 26.87 | 49.8 |
| 27.03 | 100.0 |
| 34.78 | 15.1 |
| 34.91 | 29.8 |
| 41.79 | 26.9 |
| 42.12 | 13.6 |
| 45.39 | 23.6 |
| 49.36 | 16.7 |
| 50.67 | 17.0 |

Cell and atoms:
Lattice parameters (Å, degrees): 8.5812 7.5065 7.1028 90.00 90.00 90.00
Fractional coordinates of all 10 atoms:
Ba  0.0000  0.1702  0.0000
Ba  0.5000  0.8298  0.5000
Sr  0.0000  0.8170  0.4800
Sr  0.2498  0.3435  0.4891
Sr  0.2502  0.6565  0.9891
Sr  0.5000  0.1830  0.9800
Sr  0.7502  0.3435  0.4891
Sr  0.7498  0.6565  0.9891
Ni  0.0000  0.4999  0.2374
Ni  0.5000  0.5001  0.7374



(4)
Computed X-ray diffraction stick pattern
Compound: La4Dy4Tm3
Radiation: copper Kα
Structure: a GGA-PBE-relaxed structure
Lines closer than 0.1° are merged.

The 10 most intense peaks (2θ from 10° to 90°), by angle:
| 2θ (°) | I (rel.) |
| --- | --- |
| 30.81 | 40.5 |
| 31.32 | 51.7 |
| 31.46 | 86.4 |
| 31.63 | 100.0 |
| 44.51 | 29.6 |
| 45.92 | 16.8 |
| 55.83 | 17.1 |
| 55.94 | 20.0 |
| 56.58 | 18.5 |
| 62.06 | 29.2 |

Cell and atoms:
Lattice parameters (Å, degrees): 3.5238 5.7124 18.2147 98.99 95.54 90.00
Fractional coordinates of all 11 atoms:
La  0.0921  0.0914  0.1838
La  0.2300  0.7298  0.4597
La  0.7700  0.2702  0.5403
La  0.9079  0.9086  0.8162
Dy  0.0451  0.5443  0.0896
Dy  0.1820  0.1815  0.3631
Dy  0.8180  0.8185  0.6369
Dy  0.9549  0.4557  0.9104
Tm  0.3636  0.3646  0.7281
Tm  0.5000  0.0000  0.0000
Tm  0.6364  0.6354  0.2719



(5)
Computed X-ray diffraction stick pattern
Compound: CsTlCu2F8
Radiation: copper Kα
Structure: a GGA-PBE-relaxed structure
Lines closer than 0.1° are merged.

The 10 most intense peaks (2θ from 10° to 90°), by angle:
| 2θ (°) | I (rel.) |
| --- | --- |
| 19.91 | 18.4 |
| 23.37 | 100.0 |
| 32.54 | 42.0 |
| 34.01 | 30.6 |
| 39.08 | 15.9 |
| 40.43 | 26.6 |
| 47.78 | 13.4 |
| 52.83 | 23.8 |
| 54.84 | 22.5 |
| 59.00 | 13.6 |

Cell and atoms:
Lattice parameters (Å, degrees): 9.0146 9.0146 9.0146 35.55 35.55 35.55
Fractional coordinates of all 12 atoms:
Cs  0.0000  0.0000  0.0000
Tl  0.5000  0.5000  0.5000
Cu  0.2463  0.2463  0.2463
Cu  0.7537  0.7537  0.7537
F  0.1271  0.4539  0.7526
F  0.2474  0.5461  0.8729
F  0.3180  0.3180  0.3180
F  0.4539  0.7526  0.1271
F  0.5461  0.8729  0.2474
F  0.6820  0.6820  0.6820
F  0.7526  0.1271  0.4539
F  0.8729  0.2474  0.5461



(6)
Computed X-ray diffraction stick pattern
Compound: Ca2TlIn3
Radiation: copper Kα
Structure: a GGA-PBE-relaxed structure
Lines closer than 0.1° are merged.

The 10 most intense peaks (2θ from 10° to 90°), by angle:
| 2θ (°) | I (rel.) |
| --- | --- |
| 20.09 | 44.5 |
| 23.98 | 52.6 |
| 31.48 | 100.0 |
| 35.11 | 74.2 |
| 35.28 | 36.7 |
| 42.97 | 45.7 |
| 43.11 | 22.7 |
| 47.97 | 19.8 |
| 49.10 | 14.1 |
| 61.79 | 27.7 |

Cell and atoms:
Lattice parameters (Å, degrees): 3.7107 5.0880 8.8681 90.00 90.00 90.00
Fractional coordinates of all 6 atoms:
Ca  0.0000  0.0000  0.0000
Ca  0.0000  0.5000  0.4992
Tl  0.5000  0.5000  0.8343
In  0.5000  0.0000  0.3326
In  0.5000  0.0000  0.6620
In  0.5000  0.5000  0.1699



(7)
Computed X-ray diffraction stick pattern
Compound: Y2Ga4NiRh3
Radiation: copper Kα
Structure: a GGA-PBE-relaxed structure
Lines closer than 0.1° are merged.

The 10 most intense peaks (2θ from 10° to 90°), by angle:
| 2θ (°) | I (rel.) |
| --- | --- |
| 33.68 | 60.3 |
| 35.21 | 100.0 |
| 43.83 | 68.7 |
| 46.68 | 36.9 |
| 48.88 | 31.3 |
| 56.39 | 26.6 |
| 63.72 | 21.8 |
| 67.73 | 22.8 |
| 74.95 | 20.7 |
| 88.67 | 15.1 |

Cell and atoms:
Lattice parameters (Å, degrees): 4.1307 4.1307 10.4383 90.00 90.00 90.00
Fractional coordinates of all 10 atoms:
Y  0.0000  0.5000  0.2420
Y  0.5000  0.0000  0.7580
Ga  0.0000  0.0000  0.5000
Ga  0.0000  0.5000  0.8741
Ga  0.5000  0.0000  0.1259
Ga  0.5000  0.5000  0.5000
Ni  0.5000  0.5000  0.0000
Rh  0.0000  0.0000  0.0000
Rh  0.0000  0.5000  0.6383
Rh  0.5000  0.0000  0.3617



(8)
Computed X-ray diffraction stick pattern
Compound: Au
Radiation: copper Kα
Structure: a GGA-PBE-relaxed structure
Lines closer than 0.1° are merged.

The 10 most intense peaks (2θ from 10° to 90°), by angle:
| 2θ (°) | I (rel.) |
| --- | --- |
| 35.05 | 7.9 |
| 36.32 | 43.1 |
| 37.53 | 35.1 |
| 39.92 | 100.0 |
| 45.39 | 23.2 |
| 60.32 | 10.1 |
| 62.87 | 23.8 |
| 69.34 | 20.1 |
| 75.58 | 28.3 |
| 77.12 | 15.1 |

Cell and atoms:
Lattice parameters (Å, degrees): 2.9563 2.9563 9.5848 90.00 90.00 120.00
Fractional coordinates of all 4 atoms:
Au  0.0000  0.0000  0.0000
Au  0.0000  0.0000  0.5000
Au  0.3333  0.6667  0.2500
Au  0.6667  0.3333  0.7500



(9)
Computed X-ray diffraction stick pattern
Compound: Re2Mo7W3
Radiation: copper Kα
Structure: a GGA-PBE-relaxed structure
Lines closer than 0.1° are merged.

The 10 most intense peaks (2θ from 10° to 90°), by angle:
| 2θ (°) | I (rel.) |
| --- | --- |
| 18.99 | 18.6 |
| 36.38 | 14.8 |
| 38.52 | 35.0 |
| 38.66 | 38.7 |
| 40.07 | 42.5 |
| 41.87 | 100.0 |
| 56.80 | 22.4 |
| 59.37 | 14.2 |
| 74.04 | 34.1 |
| 74.15 | 27.1 |

Cell and atoms:
Lattice parameters (Å, degrees): 14.2019 14.2019 3.1133 90.00 90.00 161.77
Fractional coordinates of all 12 atoms:
Re  0.1605  0.8395  0.0000
Re  0.8395  0.1605  0.0000
Mo  0.0000  0.0000  0.0000
Mo  0.0808  0.9192  0.5000
Mo  0.2644  0.7356  0.0000
Mo  0.4199  0.5801  0.0000
Mo  0.5801  0.4199  0.0000
Mo  0.7356  0.2644  0.0000
Mo  0.9192  0.0808  0.5000
W  0.3419  0.6581  0.5000
W  0.5000  0.5000  0.5000
W  0.6581  0.3419  0.5000



(10)
Computed X-ray diffraction stick pattern
Compound: Ba6SeS3Cl2
Radiation: copper Kα
Structure: a GGA-PBE-relaxed structure
Lines closer than 0.1° are merged.

The 10 most intense peaks (2θ from 10° to 90°), by angle:
| 2θ (°) | I (rel.) |
| --- | --- |
| 23.67 | 11.9 |
| 23.87 | 36.6 |
| 27.57 | 100.0 |
| 39.26 | 36.2 |
| 39.52 | 37.4 |
| 46.58 | 12.2 |
| 48.87 | 19.6 |
| 56.93 | 11.8 |
| 64.23 | 10.2 |
| 64.58 | 16.8 |

Cell and atoms:
Lattice parameters (Å, degrees): 7.8960 7.8960 7.9653 99.52 99.52 119.92
Fractional coordinates of all 12 atoms:
Ba  0.0888  0.4171  0.7663
Ba  0.2397  0.2397  0.2342
Ba  0.4171  0.0888  0.7663
Ba  0.5829  0.9112  0.2337
Ba  0.7603  0.7603  0.7658
Ba  0.9112  0.5829  0.2337
Se  0.0000  0.0000  0.5000
S  0.1670  0.8330  0.0000
S  0.5000  0.5000  0.0000
S  0.8330  0.1670  0.0000
Cl  0.3335  0.6665  0.5000
Cl  0.6665  0.3335  0.5000



(11)
Computed X-ray diffraction stick pattern
Compound: Pm2Nd2Sm4Er
Radiation: copper Kα
Structure: a GGA-PBE-relaxed structure
Lines closer than 0.1° are merged.

The 10 most intense peaks (2θ from 10° to 90°), by angle:
| 2θ (°) | I (rel.) |
| --- | --- |
| 28.37 | 36.6 |
| 30.51 | 49.6 |
| 31.32 | 100.0 |
| 32.98 | 85.7 |
| 39.45 | 15.9 |
| 49.85 | 38.0 |
| 53.65 | 22.4 |
| 56.87 | 17.8 |
| 59.56 | 29.8 |
| 59.63 | 14.8 |

Cell and atoms:
Lattice parameters (Å, degrees): 9.6704 9.6704 9.7476 115.11 115.11 21.83
Fractional coordinates of all 9 atoms:
Pm  0.1474  0.1474  0.1656
Pm  0.8526  0.8526  0.8344
Nd  0.3349  0.3349  0.5008
Nd  0.6651  0.6651  0.4992
Sm  0.1850  0.1850  0.8328
Sm  0.4816  0.4816  0.1699
Sm  0.5184  0.5184  0.8301
Sm  0.8150  0.8150  0.1672
Er  0.0000  0.0000  0.5000



(12)
Computed X-ray diffraction stick pattern
Compound: In7BiPb12
Radiation: copper Kα
Structure: a GGA-PBE-relaxed structure
Lines closer than 0.1° are merged.

The 10 most intense peaks (2θ from 10° to 90°), by angle:
| 2θ (°) | I (rel.) |
| --- | --- |
| 31.30 | 100.0 |
| 31.40 | 98.5 |
| 34.59 | 38.6 |
| 36.49 | 32.9 |
| 37.93 | 30.0 |
| 53.65 | 21.9 |
| 59.88 | 16.1 |
| 60.06 | 15.6 |
| 62.40 | 13.8 |
| 64.42 | 19.3 |

Cell and atoms:
Lattice parameters (Å, degrees): 9.0245 9.0471 9.4879 104.07 108.58 113.95
Fractional coordinates of all 20 atoms:
In  0.0000  0.0000  0.0000
In  0.3011  0.1046  0.3979
In  0.3492  0.4487  0.3015
In  0.4047  0.7934  0.2064
In  0.5953  0.2066  0.7936
In  0.6508  0.5513  0.6985
In  0.6989  0.8954  0.6021
Bi  0.5000  0.5000  0.0000
Pb  0.0446  0.3410  0.9014
Pb  0.0997  0.6949  0.8024
Pb  0.1505  0.0469  0.7012
Pb  0.2076  0.3991  0.5960
Pb  0.2559  0.7554  0.4956
Pb  0.4429  0.1428  0.1031
Pb  0.5571  0.8572  0.8969
Pb  0.7441  0.2446  0.5044
Pb  0.7924  0.6009  0.4040
Pb  0.8495  0.9531  0.2988
Pb  0.9003  0.3051  0.1976
Pb  0.9554  0.6590  0.0986



(13)
Computed X-ray diffraction stick pattern
Compound: PaBeSn2O8
Radiation: copper Kα
Structure: a GGA-PBE-relaxed structure
Lines closer than 0.1° are merged.

The 10 most intense peaks (2θ from 10° to 90°), by angle:
| 2θ (°) | I (rel.) |
| --- | --- |
| 14.15 | 51.3 |
| 21.95 | 40.9 |
| 23.98 | 66.7 |
| 25.02 | 100.0 |
| 26.16 | 84.6 |
| 32.50 | 83.7 |
| 35.34 | 54.3 |
| 36.52 | 43.2 |
| 48.23 | 35.8 |
| 49.03 | 37.2 |

Cell and atoms:
Lattice parameters (Å, degrees): 4.9441 4.9441 6.3086 94.93 94.93 92.06
Fractional coordinates of all 12 atoms:
Pa  0.0000  0.0000  0.0000
Be  0.0000  0.0000  0.5000
Sn  0.4701  0.4701  0.7355
Sn  0.5299  0.5299  0.2645
O  0.1658  0.1658  0.7078
O  0.2172  0.2172  0.2497
O  0.2991  0.7009  0.5000
O  0.3163  0.6837  0.0000
O  0.6837  0.3163  0.0000
O  0.7009  0.2991  0.5000
O  0.7828  0.7828  0.7503
O  0.8342  0.8342  0.2922